Record 1
Diffraction record for NaHf4Se8. The PXRD pattern is calculated, not measured: it uses a structure optimized by DFT (PBE) and Cu Ka.
Lines closer than 0.1° are merged.

Structure:
a b c (Å): 7.5126 7.5126 22.2798
angles (deg): 90.00 90.00 120.00
Space group R-3m (No. 166, hexagonal axes)
Asymmetric unit:
Na 0.0000 0.0000 0.0000 x3
Hf 0.0000 0.0000 0.5000 x3
Hf 0.0000 0.5000 0.5000 x9
Se 0.0000 0.0000 0.2378 x6
Se 0.0022 0.5011 0.2384 x18

Most intense lines, 5° ≤ 2θ ≤ 70°, in order of rising 2θ:
2theta, I/Imax, index
11.9, 100, 0 0 3
27.7, 25, 0 2 1
31.9, 80, 0 2 4
34.1, 7, 2 0 5
39.6, 24, 0 2 7
42.7, 31, 2 0 8
48.5, 26, 2 2 0
50.1, 17, 2 2 3
53.3, 14, 2 0 11
59.2, 14, 4 0 4
64.3, 6, 4 0 7
66.6, 8, 0 4 8

Record 2
Diffraction record for NaTh2P3O12. The PXRD pattern is calculated, not measured: it uses a structure optimized by DFT (PBE) and Cu Ka.
Lines closer than 0.1° are merged.

Structure:
a b c (Å): 17.6380 6.8620 8.2267
angles (deg): 90.00 101.11 90.00
Space group Cc (No. 9)
Asymmetric unit:
Na 0.0000 0.1035 0.0000 x4
Th 0.1130 0.4029 0.6570 x4
Th 0.3077 0.0916 0.5838 x4
P 0.1492 0.0891 0.3102 x4
P 0.2690 0.4131 0.9354 x4
P 0.4624 0.1009 0.8578 x4
O 0.0290 0.4477 0.8697 x4
O 0.0968 0.0920 0.7815 x4
O 0.1121 0.2554 0.1966 x4
O 0.1618 0.1490 0.4975 x4
O 0.1828 0.4558 0.9493 x4
O 0.2337 0.0466 0.2915 x4
O 0.2561 0.3488 0.7481 x4
O 0.3027 0.2457 0.0494 x4
O 0.3186 0.4021 0.4635 x4
O 0.3853 0.0040 0.3712 x4
O 0.4422 0.1982 0.6852 x4
O 0.4920 0.2431 0.0021 x4

Most intense lines, 5° ≤ 2θ ≤ 70°, in order of rising 2θ:
2theta, I/Imax, index
10.2, 62, 2 0 0
13.9, 100, 1 1 0
17.1, 48, 1 1 -1
18.3, 36, 1 1 1
20.1, 58, 3 1 0
20.5, 36, 4 0 0
27.2, 62, 4 0 -2
27.7, 43, 3 1 -2
29.4, 95, 2 2 -1
31.0, 37, 6 0 0
32.2, 60, 3 1 2
53.5, 39, 10 0 -2

Record 3
Diffraction record for Be5CoNi2. The PXRD pattern is calculated, not measured: it uses a structure optimized by DFT (PBE) and Cu Ka.
Lines closer than 0.1° are merged.

Structure:
a b c (Å): 3.6414 3.6414 10.4098
angles (deg): 90.00 90.00 90.00
Space group I4/mmm (No. 139)
Asymmetric unit:
Be 0.0000 0.0000 0.0000 x2
Be 0.0000 0.5000 0.1226 x8
Co 0.0000 0.0000 0.5000 x2
Ni 0.0000 0.0000 0.2498 x4

Most intense lines, 5° ≤ 2θ ≤ 70°, in order of rising 2θ:
2theta, I/Imax, index
17.0, 31, 0 0 2
25.9, 40, 1 0 1
34.5, 46, 0 0 4
34.8, 90, 1 1 0
35.7, 18, 1 0 3
39.0, 17, 1 1 2
49.8, 100, 1 1 4
50.1, 49, 2 0 0
50.5, 6, 1 0 5
53.3, 6, 2 0 2
57.3, 8, 2 1 1
62.2, 30, 2 0 4

Record 4
Diffraction record for Sc12Mn5C15. The PXRD pattern is calculated, not measured: it uses a structure optimized by DFT (PBE) and Cu Ka.
Lines closer than 0.1° are merged.

Structure:
a b c (Å): 9.9905 9.9905 4.6960
angles (deg): 90.00 90.00 120.00
Space group P-62m (No. 189)
Asymmetric unit:
Sc 0.0000 0.2085 0.0000 x3
Sc 0.0000 0.5593 0.0000 x3
Sc 0.1854 0.4532 0.5000 x6
Mn 0.0000 0.8505 0.5000 x3
Mn 0.3333 0.6667 0.0000 x2
C 0.0000 0.2121 0.5000 x3
C 0.0000 0.5361 0.5000 x3
C 0.0000 0.6704 0.5000 x3
C 0.1905 0.4682 0.0000 x6

Most intense lines, 5° ≤ 2θ ≤ 70°, in order of rising 2θ:
2theta, I/Imax, index
21.5, 23, 1 0 1
33.4, 100, 2 1 1
36.6, 20, 3 0 1
37.5, 60, 3 1 0
38.3, 59, 0 0 2
40.9, 21, 2 2 1
41.8, 8, 4 0 0
42.3, 9, 3 1 1
52.2, 13, 4 1 1
54.7, 35, 3 1 2
55.2, 8, 3 3 0
66.2, 13, 2 1 3